For Cs2Se, the GGA-PBE geometry in the Materials Project gives the theoretical X-ray diffraction stick pattern in this record (Cu Kα).
Kinematic intensities with the Lorentz-polarization factor, no thermal factor.

The 6 most intense peaks (5° ≤ 2θ ≤ 70°), in order of falling intensity:
26.31 deg, 3.387 Å, intensity 100, hkl 1 2 0; 24.45 deg, 3.641 Å, intensity 81, hkl 1 1 1; 31.80 deg, 2.814 Å, intensity 73, hkl 2 0 -2; 26.54 deg, 3.358 Å, intensity 69, hkl 1 2 -2; 24.97 deg, 3.566 Å, intensity 66, hkl 1 1 -3; 25.11 deg, 3.547 Å, intensity 66, hkl 1 2 -1

Crystal structure
```
data_Cs2Se
_chemical_formula_sum 'Cs8 Se4'
_symmetry_space_group_name_H-M 'P 1 21/c 1'
_symmetry_Int_Tables_number 14
_cell_length_a 5.6302
_cell_length_b 9.1364
_cell_length_c 12.1736
_cell_angle_alpha 90.00
_cell_angle_beta 116.13
_cell_angle_gamma 90.00
loop_
_symmetry_equiv_pos_as_xyz
'x,y,z'
'-x,-y,-z'
'-x,y+1/2,-z+1/2'
'x,-y+1/2,z+1/2'
loop_
_atom_site_label
_atom_site_fract_x
_atom_site_fract_y
_atom_site_fract_z
_atom_site_occupancy
Cs1 0.0897 0.0234 0.3304 1
Cs2 0.3319 0.6446 0.5751 1
Se1 0.3430 0.2468 0.6090 1
```